For Pu4Ge16Os3, a GGA-PBE-relaxed structure gives the theoretical powder diffraction line list in this record (Cu Kα (λ = 1.5418 Å)).

Most intense lines, 5 to 70 degrees two-theta, low angle first:
2theta	d_spacing	Rel. int.	(hkl)
20.3	4.375	43	1 1 0
28.9	3.093	24	2 0 0
31.5	2.840	75	1 1 3
33.1	2.708	19	2 0 2
37.8	2.382	100	2 0 3
40.2	2.241	17	0 0 5
41.3	2.187	78	2 2 0
43.6	2.076	25	2 0 4
52.8	1.733	33	3 1 3
59.0	1.565	20	2 2 5
59.8	1.547	25	4 0 0
65.7	1.421	12	2 2 6

Atomic structure:
Lattice parameters (Å, degrees): 6.187 6.187 11.204 90.00 90.00 90.00
Space group P4/mmm (No. 123)
Unique sites:
Pu (0.000, 0.500, 0.189)
Ge (0.000, 0.000, 0.213)
Ge (0.213, 0.213, 0.000)
Ge (0.248, 0.248, 0.377)
Ge (0.500, 0.500, 0.230)
Os (0.000, 0.500, 0.500)
Os (0.500, 0.500, 0.000)

***

For SmEr2Cu, a GGA-PBE-relaxed structure gives the theoretical powder diffraction line list in this record (Cu Kα (λ = 1.5418 Å)).

Most intense lines, 5 to 70 degrees two-theta, low angle first:
2theta	d_spacing	Rel. int.	(hkl)
28.4	3.147	14	0 2 1
29.3	3.044	61	1 0 -2
31.0	2.882	100	1 2 0
31.7	2.820	25	1 1 1
33.0	2.713	21	0 1 2
36.6	2.453	41	2 0 -1
38.1	2.361	30	1 2 1
39.2	2.296	35	0 2 2
54.7	1.677	23	2 2 1
57.3	1.608	16	1 3 2
58.6	1.576	14	1 0 3
62.5	1.487	25	2 4 -1

Atomic structure:
Lattice parameters (Å, degrees): 4.907 7.480 6.316 90.00 112.80 90.00
Space group P2_1/m (No. 11)
Unique sites:
Sm (0.047, 0.250, 0.093)
Er (0.351, 0.032, 0.701)
Cu (0.201, 0.750, 0.403)